KMg3AlSi3O10F2: theoretical X-ray diffraction stick pattern (Cu Kα X-rays), based on a cell relaxed with PBE.

Peak list (8 most intense, 2θ = 5–70°, by intensity)
- 2θ = 14.3°, rel. 1000, hkl 0 2 0
- 2θ = 29.0°, rel. 651, hkl 0 2 2
- 2θ = 26.2°, rel. 609, hkl 0 1 2
- 2θ = 33.3°, rel. 600, hkl 2 0 1
- 2θ = 28.9°, rel. 527, hkl 1 3 -1
- 2θ = 32.1°, rel. 459, hkl 2 0 -1
- 2θ = 24.9°, rel. 436, hkl 0 3 1
- 2θ = 38.6°, rel. 378, hkl 0 4 2

Structural model:
Cell: 5.9479 12.4081 7.0931 Å, 90.00 92.76 90.00°
Space group P2_1 (No. 4)
Inequivalent atoms, fractional coordinates:
K 0.2268 0.0000 0.0567 (multiplicity 2)
Mg 0.1383 0.5406 0.4613 (multiplicity 2)
Mg 0.3971 0.1117 0.6129 (multiplicity 2)
Mg 0.4580 0.8321 0.3965 (multiplicity 2)
Al 0.4716 0.2676 0.2082 (multiplicity 2)
Si 0.0344 0.3024 0.6478 (multiplicity 2)
Si 0.0346 0.7695 0.7651 (multiplicity 2)
Si 0.2635 0.6668 0.0822 (multiplicity 2)
O 0.0153 0.9266 0.4022 (multiplicity 2)
O 0.0203 0.7199 0.5438 (multiplicity 2)
O 0.0598 0.6616 0.9113 (multiplicity 2)
O 0.1918 0.7765 0.2149 (multiplicity 2)
O 0.2005 0.3302 0.1966 (multiplicity 2)
O 0.2646 0.8406 0.8024 (multiplicity 2)
O 0.2805 0.2739 0.7310 (multiplicity 2)
O 0.3116 0.5745 0.2379 (multiplicity 2)
O 0.4911 0.7104 0.5712 (multiplicity 2)
O 0.4965 0.6760 0.9761 (multiplicity 2)
F 0.1309 0.0570 0.7050 (multiplicity 2)
F 0.4741 0.4819 0.5543 (multiplicity 2)


LaEuB12: theoretical X-ray diffraction stick pattern (Cu Kα X-rays), based on a cell relaxed with PBE.

Peak list (8 most intense, 2θ = 5–70°, by intensity)
- 2θ = 30.4°, rel. 1000, hkl 1 1 0
- 2θ = 21.4°, rel. 644, hkl 1 0 0
- 2θ = 49.1°, rel. 495, hkl 2 1 0
- 2θ = 37.5°, rel. 421, hkl 1 1 2
- 2θ = 67.7°, rel. 279, hkl 2 2 2
- 2θ = 54.1°, rel. 272, hkl 2 1 2
- 2θ = 43.6°, rel. 214, hkl 2 0 0
- 2θ = 63.3°, rel. 100, hkl 2 2 0

Structural model:
Cell: 4.1525 4.1525 8.3067 Å, 90.00 90.00 90.00°
Space group P4/mmm (No. 123)
Inequivalent atoms, fractional coordinates:
La 0.0000 0.0000 0.0000 (multiplicity 1)
Eu 0.0000 0.0000 0.5000 (multiplicity 1)
B 0.2002 0.5000 0.2501 (multiplicity 8)
B 0.5000 0.5000 0.1001 (multiplicity 2)
B 0.5000 0.5000 0.3998 (multiplicity 2)


Dy2Nb2O7: theoretical X-ray diffraction stick pattern (Cu Kα X-rays), based on a cell relaxed with PBE.

Peak list (8 most intense, 2θ = 5–70°, by intensity)
- 2θ = 29.8°, rel. 1000, hkl 2 2 2
- 2θ = 49.7°, rel. 494, hkl 4 4 0
- 2θ = 59.1°, rel. 428, hkl 6 2 2
- 2θ = 34.6°, rel. 313, hkl 4 0 0
- 2θ = 62.0°, rel. 91, hkl 4 4 4
- 2θ = 14.8°, rel. 73, hkl 1 1 1
- 2θ = 37.8°, rel. 56, hkl 3 3 1
- 2θ = 28.5°, rel. 28, hkl 3 1 1

Structural model:
Cell: 10.3696 10.3696 10.3696 Å, 90.00 90.00 90.00°
Space group Fd-3m (No. 227, origin choice 2)
Inequivalent atoms, fractional coordinates:
Dy 0.0000 0.0000 0.0000 (multiplicity 16)
Nb 0.0000 0.0000 0.5000 (multiplicity 16)
O 0.0959 0.3750 0.8750 (multiplicity 48)
O 0.1250 0.1250 0.1250 (multiplicity 8)


KIO3: theoretical X-ray diffraction stick pattern (Cu Kα X-rays), based on a cell relaxed with PBE.

Peak list (8 most intense, 2θ = 5–70°, by intensity)
- 2θ = 27.8°, rel. 1000, hkl 2 2 -2
- 2θ = 19.6°, rel. 538, hkl 0 2 0
- 2θ = 39.7°, rel. 214, hkl 4 0 -4
- 2θ = 49.2°, rel. 179, hkl 4 4 -2
- 2θ = 49.1°, rel. 165, hkl 6 2 -2
- 2θ = 57.5°, rel. 141, hkl 4 4 -4
- 2θ = 24.0°, rel. 128, hkl 1 1 1
- 2θ = 44.7°, rel. 126, hkl 2 4 -2

Structural model:
Cell: 12.8252 9.0595 9.0770 Å, 90.00 134.89 90.00°
Space group C2 (No. 5)
Inequivalent atoms, fractional coordinates:
K 0.0000 0.0000 0.0000 (multiplicity 2)
K 0.0000 0.0064 0.5000 (multiplicity 2)
K 0.0000 0.5000 0.5000 (multiplicity 2)
K 0.0000 0.5094 0.0000 (multiplicity 2)
I 0.2308 0.7429 0.9954 (multiplicity 4)
I 0.2322 0.2577 0.4632 (multiplicity 4)
O 0.0344 0.2322 0.2894 (multiplicity 4)
O 0.0339 0.7735 0.7779 (multiplicity 4)
O 0.2268 0.5396 0.9912 (multiplicity 4)
O 0.2327 0.4607 0.4497 (multiplicity 4)
O 0.2438 0.7723 0.2089 (multiplicity 4)
O 0.2468 0.2118 0.2805 (multiplicity 4)


PNF2: theoretical X-ray diffraction stick pattern (Cu Kα X-rays), based on a cell relaxed with PBE.

Peak list (8 most intense, 2θ = 5–70°, by intensity)
- 2θ = 24.1°, rel. 1000, hkl 0 0 2
- 2θ = 18.5°, rel. 659, hkl 1 1 -1
- 2θ = 21.3°, rel. 502, hkl 1 2 -1
- 2θ = 25.3°, rel. 335, hkl 1 1 1
- 2θ = 17.6°, rel. 219, hkl 1 0 0
- 2θ = 29.9°, rel. 163, hkl 1 4 -1
- 2θ = 12.0°, rel. 150, hkl 0 2 0
- 2θ = 13.4°, rel. 118, hkl 0 1 1

Structural model:
Cell: 5.3752 14.7964 7.8957 Å, 90.00 110.44 90.00°
Space group P2_1/c (No. 14)
Inequivalent atoms, fractional coordinates:
P 0.0897 0.0923 0.2164 (multiplicity 4)
P 0.2447 0.5966 0.6668 (multiplicity 4)
N 0.1385 0.6199 0.4612 (multiplicity 4)
N 0.2403 0.0006 0.2409 (multiplicity 4)
F 0.0207 0.6044 0.1269 (multiplicity 4)
F 0.1224 0.6635 0.7691 (multiplicity 4)
F 0.3042 0.1682 0.2693 (multiplicity 4)
F 0.4618 0.1294 0.7580 (multiplicity 4)


KPrP4O12: theoretical X-ray diffraction stick pattern (Cu Kα X-rays), based on a cell relaxed with PBE.

Peak list (8 most intense, 2θ = 5–70°, by intensity)
- 2θ = 26.2°, rel. 1000, hkl 1 2 -1
- 2θ = 15.0°, rel. 799, hkl 0 1 1
- 2θ = 26.5°, rel. 786, hkl 1 2 1
- 2θ = 28.2°, rel. 740, hkl 2 1 -1
- 2θ = 28.8°, rel. 638, hkl 2 1 1
- 2θ = 16.5°, rel. 601, hkl 1 0 1
- 2θ = 15.8°, rel. 564, hkl 1 1 0
- 2θ = 26.7°, rel. 510, hkl 1 1 -2

Structural model:
Cell: 7.3973 8.5999 8.1496 Å, 90.00 91.95 90.00°
Space group P2_1 (No. 4)
Inequivalent atoms, fractional coordinates:
K 0.2278 0.0000 0.2804 (multiplicity 2)
Pr 0.2650 0.6951 0.7579 (multiplicity 2)
P 0.0655 0.0712 0.9012 (multiplicity 2)
P 0.1223 0.4425 0.3951 (multiplicity 2)
P 0.3965 0.2727 0.8953 (multiplicity 2)
P 0.4992 0.0479 0.6198 (multiplicity 2)
O 0.0384 0.2892 0.3492 (multiplicity 2)
O 0.0429 0.5772 0.2737 (multiplicity 2)
O 0.0640 0.6037 0.9650 (multiplicity 2)
O 0.1115 0.5006 0.5678 (multiplicity 2)
O 0.1820 0.9301 0.9257 (multiplicity 2)
O 0.1867 0.2248 0.8733 (multiplicity 2)
O 0.3303 0.4355 0.3429 (multiplicity 2)
O 0.3329 0.9474 0.6141 (multiplicity 2)
O 0.4133 0.4324 0.8243 (multiplicity 2)
O 0.4627 0.2423 0.0687 (multiplicity 2)
O 0.4692 0.6473 0.5280 (multiplicity 2)
O 0.4929 0.6518 0.2163 (multiplicity 2)


GaAgTeSe: theoretical X-ray diffraction stick pattern (Cu Kα X-rays), based on a cell relaxed with PBE.

Peak list (8 most intense, 2θ = 5–70°, by intensity)
- 2θ = 25.2°, rel. 1000, hkl 1 1 2
- 2θ = 40.9°, rel. 265, hkl 2 2 0
- 2θ = 42.1°, rel. 243, hkl 0 2 4
- 2θ = 42.4°, rel. 241, hkl 2 0 4
- 2θ = 48.4°, rel. 156, hkl 1 3 2
- 2θ = 48.9°, rel. 155, hkl 3 1 2
- 2θ = 51.1°, rel. 137, hkl 1 1 6
- 2θ = 65.3°, rel. 60, hkl 3 3 2

Structural model:
Cell: 6.2036 6.2929 11.7306 Å, 90.00 90.00 90.00°
Space group I2_12_12_1 (No. 24)
Inequivalent atoms, fractional coordinates:
Ga 0.0000 0.2500 0.1158 (multiplicity 4)
Ag 0.0000 0.2500 0.6203 (multiplicity 4)
Te 0.2320 0.5000 0.2500 (multiplicity 4)
Se 0.2500 0.0306 0.0000 (multiplicity 4)